The following is a theoretical powder X-ray diffraction pattern of Lu2HfSc. It was derived from a DFT-relaxed cell (PBE, Alexandria), using Cu Kα (weighted mean of Kα1 and Kα2).
Intensities are scaled so that the largest is 100.

Atomic structure:
a b c (Å): 7.482 7.482 7.482
angles (deg): 90.00 90.00 90.00
Space group Fm-3m (No. 225)
Unique sites:
Lu 0.250 0.250 0.250 x8
Hf 0.000 0.000 0.000 x4
Sc 0.000 0.000 0.500 x4

Largest 12 diffraction maxima, in order of rising 2θ, 2θ from 10° to 90°:
2θ/deg, Rel. int., hkl
20.6, 12, 1 1 1
23.8, 6, 2 0 0
33.9, 100, 2 2 0
40.0, 7, 3 1 1
48.7, 18, 4 0 0
53.4, 3, 3 3 1
54.9, 3, 4 2 0
60.6, 38, 4 2 2
64.7, 2, 5 1 1
71.3, 12, 4 4 0
75.1, 2, 5 3 1
81.3, 16, 6 2 0